Entry 1:
Diffraction record for Ce2CdPd2. The XRD peak list is calculated, not measured: it uses a cell relaxed with PBE and a wavelength of 1.5418 Å.
Neutral-atom scattering factors, no anomalous dispersion.

Largest 6 diffraction maxima, by intensity, 2θ from 5° to 70°:
d [Å], two_theta, I (rel.), hkl
2.585, 34.70, 100.0, 2 1 1
2.476, 36.28, 43.7, 3 1 0
2.739, 32.70, 29.6, 2 0 1
1.516, 61.15, 18.5, 3 1 2
1.917, 47.43, 14.6, 0 0 2
1.702, 53.88, 13.5, 4 1 1

Structural model:
```
data_Ce2CdPd2
_cell_length_a 7.8292
_cell_length_b 7.8292
_cell_length_c 3.8333
_cell_angle_alpha 90.00
_cell_angle_beta 90.00
_cell_angle_gamma 90.00
_symmetry_space_group_name_H-M 'P 4/m b m'
_symmetry_Int_Tables_number 127
_symmetry_space_group_name_Hall '-P 4 2ab'
loop_
_atom_site_label
_atom_site_type_symbol
_atom_site_fract_x
_atom_site_fract_y
_atom_site_fract_z
Ce1 Ce 0.1724 0.3276 0.0000
Cd1 Cd 0.0000 0.0000 0.5000
Pd1 Pd 0.1303 0.6303 0.5000
```



Entry 2:
Diffraction record for TiZn2. The XRD peak list is calculated, not measured: it uses a cell relaxed with PBE and a wavelength of 1.5418 Å.
Neutral-atom scattering factors, no anomalous dispersion.

Largest 6 diffraction maxima, by intensity, 2θ from 5° to 70°:
d [Å], two_theta, I (rel.), hkl
2.125, 42.54, 100.0, 2 0 1
2.158, 41.86, 92.1, 1 1 2
2.316, 38.88, 56.7, 1 0 3
1.938, 46.89, 34.3, 2 0 2
2.043, 44.34, 23.5, 0 0 4
1.381, 67.87, 20.1, 3 0 2

Structural model:
```
data_TiZn2
_cell_length_a 5.0831
_cell_length_b 5.0831
_cell_length_c 8.1713
_cell_angle_alpha 90.00
_cell_angle_beta 90.00
_cell_angle_gamma 120.00
_symmetry_space_group_name_H-M 'P 63/m m c'
_symmetry_Int_Tables_number 194
_symmetry_space_group_name_Hall '-P 6c 2c'
loop_
_atom_site_label
_atom_site_type_symbol
_atom_site_fract_x
_atom_site_fract_y
_atom_site_fract_z
Ti1 Ti 0.3333 0.6667 0.0671
Zn1 Zn 0.0000 0.0000 0.0000
Zn2 Zn 0.1718 0.3437 0.7500
```



Entry 3:
Diffraction record for BaU2O7. The XRD peak list is calculated, not measured: it uses a cell relaxed with PBE and a wavelength of 1.5418 Å.
Neutral-atom scattering factors, no anomalous dispersion.

Largest 6 diffraction maxima, by intensity, 2θ from 5° to 70°:
d [Å], two_theta, I (rel.), hkl
3.105, 28.76, 100.0, 2 0 2
3.115, 28.65, 88.1, 2 1 1
3.552, 25.07, 69.3, 1 0 3
6.209, 14.26, 53.2, 1 0 1
1.958, 46.37, 42.5, 2 2 4
1.558, 59.33, 27.4, 4 2 2

Structural model:
```
data_BaU2O7
_cell_length_a 7.2031
_cell_length_b 7.2031
_cell_length_c 12.2499
_cell_angle_alpha 90.00
_cell_angle_beta 90.00
_cell_angle_gamma 90.00
_symmetry_space_group_name_H-M 'I 41/a m d'
_symmetry_Int_Tables_number 141
loop_
_symmetry_equiv_pos_as_xyz
'x,y,z'
'-x,-y,-z'
'-y+1/4,x+3/4,z+1/4'
'y+1/4,-x+3/4,-z+1/4'
'-x+1/2,-y,z+1/2'
'x+1/2,y,-z+1/2'
'y+1/4,-x+1/4,z+3/4'
'-y+1/4,x+1/4,-z+3/4'
'x,-y,-z'
'-x,y,z'
'-y+1/4,-x+1/4,-z+3/4'
'y+1/4,x+1/4,z+3/4'
'-x+1/2,y,-z+1/2'
'x+1/2,-y,z+1/2'
'y+1/4,x+3/4,-z+1/4'
'-y+1/4,-x+3/4,z+1/4'
'x+1/2,y+1/2,z+1/2'
'-x+1/2,-y+1/2,-z+1/2'
'-y+3/4,x+1/4,z+3/4'
'y+3/4,-x+1/4,-z+3/4'
'-x,-y+1/2,z'
'x,y+1/2,-z'
'y+3/4,-x+3/4,z+1/4'
'-y+3/4,x+3/4,-z+1/4'
'x+1/2,-y+1/2,-z+1/2'
'-x+1/2,y+1/2,z+1/2'
'-y+3/4,-x+3/4,-z+1/4'
'y+3/4,x+3/4,z+1/4'
'-x,y+1/2,-z'
'x,-y+1/2,z'
'y+3/4,x+1/4,-z+3/4'
'-y+3/4,-x+1/4,z+3/4'
loop_
_atom_site_label
_atom_site_type_symbol
_atom_site_fract_x
_atom_site_fract_y
_atom_site_fract_z
Ba1 Ba 0.0000 0.2500 0.3750
U1 U 0.0000 0.0000 0.0000
O1 O 0.0000 0.2500 0.0929
O2 O 0.0000 0.2500 0.8750
O3 O 0.2364 0.0000 0.5000
```